# 1
Theoretical powder XRD pattern of RbFe2Se3 for λ = 1.5418 Å (Cu Kα), from a structure optimized by DFT (GGA-PBE).
Intensities are scaled so that the largest is 100.

Top 10 peaks for 5° ≤ 2θ ≤ 70°, in order of falling intensity:
2θ 28.89, I 100; 2θ 11.80, I 25; 2θ 45.21, I 24; 2θ 50.36, I 19; 2θ 48.54, I 17; 2θ 56.22, I 15; 2θ 14.96, I 13; 2θ 24.35, I 11; 2θ 52.83, I 11; 2θ 47.58, I 9

```
RbFe2Se3
1.0
4.8488 -5.9202 0.0000
4.8488 5.9202 0.0000
0.0000 0.0000 5.4547
Rb Fe Se
2 4 6
direct
0.1634 0.8366 0.7500
0.8366 0.1634 0.2500
0.3693 0.3693 0.0000
0.3693 0.3693 0.5000
0.6307 0.6307 0.0000
0.6307 0.6307 0.5000
0.1171 0.3404 0.7500
0.3404 0.1171 0.2500
0.3686 0.6314 0.2500
0.6314 0.3686 0.7500
0.6596 0.8829 0.7500
0.8829 0.6596 0.2500
```


# 2
Theoretical powder XRD pattern of RbFe2Se for λ = 1.5418 Å (Cu Kα), from a structure optimized by DFT (GGA-PBE).
Intensities are scaled so that the largest is 100.

Top 10 peaks for 5° ≤ 2θ ≤ 70°, in order of falling intensity:
2θ 27.62, I 100; 2θ 57.04, I 36; 2θ 41.95, I 32; 2θ 42.57, I 30; 2θ 18.66, I 29; 2θ 36.13, I 24; 2θ 59.91, I 22; 2θ 37.83, I 22; 2θ 24.23, I 21; 2θ 44.33, I 20

```
RbFe2Se
1.0
4.9716 0.0000 0.0000
0.0000 4.9716 0.0000
0.0000 0.0000 16.3474
Rb Fe Se
4 8 4
direct
0.0000 0.2500 0.3750
0.0000 0.7500 0.6250
0.5000 0.2500 0.1250
0.5000 0.7500 0.8750
0.0000 0.0000 0.0000
0.0000 0.5000 0.0000
0.2500 0.2500 0.7500
0.2500 0.7500 0.2500
0.5000 0.0000 0.5000
0.5000 0.5000 0.5000
0.7500 0.2500 0.7500
0.7500 0.7500 0.2500
0.0000 0.2500 0.8750
0.0000 0.7500 0.1250
0.5000 0.2500 0.6250
0.5000 0.7500 0.3750
```